Starting from a DFT-relaxed cell (GGA-PBE, Alexandria), the X-ray diffraction stick pattern of Ni5Ge4Ir was simulated for λ = 1.5418 Å (Cu Kα).
Kinematic intensities with the Lorentz-polarization factor, no thermal factor.

Peak list (10 most intense, 5 to 70 degrees two-theta, low angle first)
16.26 deg, I 44, (1 1 0); 25.30 deg, I 47, (1 1 1); 30.68 deg, I 63, (2 0 1); 36.10 deg, I 54, (1 3 0); 41.23 deg, I 43, (1 3 1); 42.60 deg, I 98, (3 1 1); 45.55 deg, I 100, (0 2 2); 45.89 deg, I 45, (0 4 0); 47.23 deg, I 55, (3 2 1); 54.26 deg, I 67, (3 3 1)

Structure:
Cell lengths 7.523, 7.910, 4.610 Å; angles 90.00, 90.00, 90.00 degrees
Space group Pmmn (No. 59, origin choice 2)
Inequivalent atoms, fractional coordinates:
Ni: 0.057 0.013 0.250
Ni: 0.250 0.250 0.054
Ge: 0.073 0.750 0.989
Ge: 0.250 0.065 0.648
Ir: 0.250 0.750 0.485